Record 1
LiVF4: simulated powder XRD pattern (Cu Kα, 1.54184 Å), based on a GGA+U-relaxed structure.

Most intense lines, 10 to 80 degrees two-theta, low angle first:
18.00°, d 4.928, intensity 346, hkl 0 0 2
24.14°, d 3.687, intensity 1000, hkl 1 0 1
31.84°, d 2.811, intensity 117, hkl 1 1 0
36.46°, d 2.464, intensity 197, hkl 0 0 4
45.65°, d 1.988, intensity 338, hkl 2 0 0
51.77°, d 1.766, intensity 213, hkl 1 0 5
52.29°, d 1.749, intensity 199, hkl 2 1 1
59.78°, d 1.547, intensity 149, hkl 2 0 4
66.54°, d 1.405, intensity 86, hkl 2 2 0
71.46°, d 1.320, intensity 134, hkl 2 1 5

```
data_LiVF4
_cell_length_a 3.975
_cell_length_b 3.975
_cell_length_c 9.856
_cell_angle_alpha 90.00
_cell_angle_beta 90.00
_cell_angle_gamma 90.00
_symmetry_space_group_name_H-M 'P 1'
_symmetry_Int_Tables_number 1
loop_
_symmetry_equiv_pos_as_xyz
'x,y,z'
loop_
_atom_site_label
_atom_site_fract_x
_atom_site_fract_y
_atom_site_fract_z
Li1 0.000 0.000 0.000
Li2 0.500 0.500 0.500
V1 0.000 0.500 0.750
V2 0.500 0.000 0.250
F1 0.000 0.000 0.232
F2 0.000 0.000 0.768
F3 0.000 0.500 0.553
F4 0.000 0.500 0.947
F5 0.500 0.000 0.053
F6 0.500 0.000 0.447
F7 0.500 0.500 0.268
F8 0.500 0.500 0.732
```



Record 2
Li3VO2F2: simulated powder XRD pattern (Cu Kα, 1.54184 Å), based on a GGA+U-relaxed structure.

Most intense lines, 10 to 80 degrees two-theta, low angle first:
18.33°, d 4.840, intensity 1000, hkl 1 1 0
20.87°, d 4.256, intensity 236, hkl 0 2 0
30.41°, d 2.939, intensity 298, hkl 2 0 0
35.11°, d 2.556, intensity 165, hkl 1 3 0
35.76°, d 2.511, intensity 252, hkl 1 1 1
42.48°, d 2.128, intensity 390, hkl 0 4 0
43.55°, d 2.078, intensity 712, hkl 2 0 1
47.14°, d 1.928, intensity 97, hkl 1 3 1
53.14°, d 1.724, intensity 110, hkl 2 4 0
62.46°, d 1.487, intensity 397, hkl 2 4 1

```
data_Li3VO2F2
_cell_length_a 5.883
_cell_length_b 8.512
_cell_length_c 2.937
_cell_angle_alpha 90.00
_cell_angle_beta 90.00
_cell_angle_gamma 90.00
_symmetry_space_group_name_H-M 'P 1'
_symmetry_Int_Tables_number 1
loop_
_symmetry_equiv_pos_as_xyz
'x,y,z'
loop_
_atom_site_label
_atom_site_fract_x
_atom_site_fract_y
_atom_site_fract_z
Li1 0.000 0.000 0.000
Li2 0.250 0.250 0.500
Li3 0.250 0.750 0.500
Li4 0.500 0.500 0.000
Li5 0.750 0.250 0.500
Li6 0.750 0.750 0.500
V1 0.000 0.500 0.000
V2 0.500 0.000 0.000
O1 0.233 0.500 0.500
O2 0.267 0.000 0.500
O3 0.733 0.000 0.500
O4 0.767 0.500 0.500
F1 0.000 0.252 0.000
F2 0.000 0.748 0.000
F3 0.500 0.248 0.000
F4 0.500 0.752 0.000
```